Record 1
Structure and simulated powder XRD pattern of Ta (the PBE geometry in Alexandria; a wavelength of 1.5418 Å).
Peak positions follow from Bragg's law for the DFT cell and can differ from measured ones.

Cell and atoms:
```
data_Ta
_symmetry_space_group_name_H-M 'F d d d'
_symmetry_Int_Tables_number 70
_cell_length_a 2.882
_cell_length_b 5.205
_cell_length_c 9.939
_cell_angle_alpha 90.00
_cell_angle_beta 90.00
_cell_angle_gamma 90.00
loop_
_symmetry_equiv_pos_as_xyz
'x,y,z'
'-x,-y,-z'
'-x+1/4,-y+1/4,z'
'x+1/4,y+1/4,-z'
'x,-y+1/4,-z+1/4'
'-x,y+1/4,z+1/4'
'-x+1/4,y,-z+1/4'
'x+1/4,-y,z+1/4'
'x,y+1/2,z+1/2'
'-x,-y+1/2,-z+1/2'
'-x+1/4,-y+3/4,z+1/2'
'x+1/4,y+3/4,-z+1/2'
'x,-y+3/4,-z+3/4'
'-x,y+3/4,z+3/4'
'-x+1/4,y+1/2,-z+3/4'
'x+1/4,-y+1/2,z+3/4'
'x+1/2,y,z+1/2'
'-x+1/2,-y,-z+1/2'
'-x+3/4,-y+1/4,z+1/2'
'x+3/4,y+1/4,-z+1/2'
'x+1/2,-y+1/4,-z+3/4'
'-x+1/2,y+1/4,z+3/4'
'-x+3/4,y,-z+3/4'
'x+3/4,-y,z+3/4'
'x+1/2,y+1/2,z'
'-x+1/2,-y+1/2,-z'
'-x+3/4,-y+3/4,z'
'x+3/4,y+3/4,-z'
'x+1/2,-y+3/4,-z+1/4'
'-x+1/2,y+3/4,z+1/4'
'-x+3/4,y+1/2,-z+1/4'
'x+3/4,-y+1/2,z+1/4'
loop_
_atom_site_label
_atom_site_type_symbol
_atom_site_fract_x
_atom_site_fract_y
_atom_site_fract_z
Ta1 Ta 0.125 0.125 0.125
```

Largest 10 diffraction maxima, low angle first, 10 to 90 degrees two-theta:
2.485 Å, 36.15 deg, intensity 52, hkl 0 0 4; 2.444 Å, 36.78 deg, intensity 100, hkl 1 1 1; 2.305 Å, 39.07 deg, intensity 85, hkl 0 2 2; 2.006 Å, 45.19 deg, intensity 56, hkl 1 1 3; 1.561 Å, 59.19 deg, intensity 26, hkl 1 1 5; 1.470 Å, 63.26 deg, intensity 21, hkl 1 3 1; 1.397 Å, 66.97 deg, intensity 18, hkl 0 2 6; 1.384 Å, 67.70 deg, intensity 17, hkl 2 0 2; 1.356 Å, 69.29 deg, intensity 16, hkl 1 3 3; 1.124 Å, 86.59 deg, intensity 18, hkl 2 2 4


Record 2
Structure and simulated powder XRD pattern of Ac7GePb2 (the PBE geometry in Alexandria; a wavelength of 1.5418 Å).
Peak positions follow from Bragg's law for the DFT cell and can differ from measured ones.

Cell and atoms:
```
data_Ac7GePb2
_symmetry_space_group_name_H-M 'F m -3 m'
_symmetry_Int_Tables_number 225
_symmetry_space_group_name_Hall '-F 4 2 3'
_cell_length_a 12.183
_cell_length_b 12.183
_cell_length_c 12.183
_cell_angle_alpha 90.00
_cell_angle_beta 90.00
_cell_angle_gamma 90.00
loop_
_atom_site_label
_atom_site_type_symbol
_atom_site_fract_x
_atom_site_fract_y
_atom_site_fract_z
Ac1 Ac 0.000 0.000 0.000
Ac2 Ac 0.000 0.000 0.258
Ge1 Ge 0.000 0.000 0.500
Pb1 Pb 0.250 0.250 0.250
```

Largest 10 diffraction maxima, low angle first, 10 to 90 degrees two-theta:
6.092 Å, 14.54 deg, intensity 14, hkl 2 0 0; 3.517 Å, 25.32 deg, intensity 96, hkl 2 2 2; 3.046 Å, 29.32 deg, intensity 100, hkl 4 0 0; 2.154 Å, 41.95 deg, intensity 77, hkl 4 4 0; 1.837 Å, 49.63 deg, intensity 47, hkl 6 2 2; 1.759 Å, 52.00 deg, intensity 28, hkl 4 4 4; 1.398 Å, 66.96 deg, intensity 19, hkl 6 6 2; 1.362 Å, 68.94 deg, intensity 35, hkl 8 4 0; 1.243 Å, 76.63 deg, intensity 26, hkl 8 4 4; 1.172 Å, 82.23 deg, intensity 14, hkl 10 2 2


Record 3
Structure and simulated powder XRD pattern of ZrInP3 (the PBE geometry in Alexandria; a wavelength of 1.5418 Å).
Peak positions follow from Bragg's law for the DFT cell and can differ from measured ones.

Cell and atoms:
```
data_ZrInP3
_symmetry_space_group_name_H-M 'P m -3 m'
_symmetry_Int_Tables_number 221
_symmetry_space_group_name_Hall '-P 4 2 3'
_cell_length_a 5.057
_cell_length_b 5.057
_cell_length_c 5.057
_cell_angle_alpha 90.00
_cell_angle_beta 90.00
_cell_angle_gamma 90.00
loop_
_atom_site_label
_atom_site_type_symbol
_atom_site_fract_x
_atom_site_fract_y
_atom_site_fract_z
Zr1 Zr 0.000 0.000 0.000
In1 In 0.500 0.500 0.500
P1 P 0.000 0.000 0.500
```

Largest 10 diffraction maxima, low angle first, 10 to 90 degrees two-theta:
3.576 Å, 24.90 deg, intensity 100, hkl 1 1 0; 2.919 Å, 30.62 deg, intensity 17, hkl 1 1 1; 2.528 Å, 35.51 deg, intensity 56, hkl 2 0 0; 2.064 Å, 43.86 deg, intensity 44, hkl 2 1 1; 1.788 Å, 51.09 deg, intensity 38, hkl 2 2 0; 1.599 Å, 57.65 deg, intensity 19, hkl 3 1 0; 1.460 Å, 63.76 deg, intensity 13, hkl 2 2 2; 1.351 Å, 69.56 deg, intensity 21, hkl 3 2 1; 1.192 Å, 80.60 deg, intensity 11, hkl 4 1 1; 1.131 Å, 85.97 deg, intensity 17, hkl 4 2 0